Structure and computed powder XRD pattern of Y17Ho2 (a cell relaxed with PBE; copper Kα).
Neutral-atom scattering factors, no anomalous dispersion.

Peak list (6 most intense, 15 to 90 degrees two-theta, low angle first)
27.59°, I = 361; 30.15°, I = 257; 31.18°, I = 596; 31.52°, I = 1000; 31.97°, I = 567; 35.46°, I = 348

a b c (Å): 8.773 8.773 8.773
angles (deg): 79.33 79.33 79.33
Element x y z (fractional)
Y: 0.000 0.000 0.500
Y: 0.000 0.300 0.700
Y: 0.000 0.500 0.000
Y: 0.000 0.700 0.300
Y: 0.097 0.097 0.097
Y: 0.150 0.629 0.629
Y: 0.300 0.000 0.700
Y: 0.300 0.700 0.000
Y: 0.371 0.371 0.850
Y: 0.371 0.850 0.371
Y: 0.500 0.000 0.000
Y: 0.629 0.150 0.629
Y: 0.629 0.629 0.150
Y: 0.700 0.000 0.300
Y: 0.700 0.300 0.000
Y: 0.850 0.371 0.371
Y: 0.903 0.903 0.903
Ho: 0.320 0.320 0.320
Ho: 0.680 0.680 0.680